BeWF3: theoretical powder XRD pattern (Cu Kα), based on a PBE+U-relaxed structure.
Lines closer than 0.1° are merged.

The 10 most intense peaks (2θ = 10–90°), low angle first:
h k l, 2θ/deg, I/Imax
1 0 0, 21.15, 100
1 1 0, 30.08, 62
1 1 1, 37.06, 11
2 0 0, 43.06, 25
2 1 0, 48.45, 45
2 1 1, 53.42, 26
2 2 0, 62.53, 16
3 0 0, 66.80, 21
3 1 0, 70.94, 12
3 2 1, 86.72, 14

Cell and atoms:
Lattice parameters (Å, degrees): 4.201 4.201 4.201 90.00 90.00 90.00
Space group Pm-3m (No. 221)
Unique sites:
Be 0.000 0.000 0.000 (multiplicity 1)
W 0.500 0.500 0.500 (multiplicity 1)
F 0.000 0.500 0.500 (multiplicity 3)